Entry 1:
Structure and simulated X-ray powder pattern of TbZn2 (a PBE-relaxed structure; CuKα).
No peak broadening, texture or thermal motion is included.

Atomic structure:
Cell lengths 4.492, 7.175, 7.582 Å; angles 90.00, 90.00, 90.00 degrees
Space group Imma (No. 74)
One atom of each set of equivalent atoms:
Tb 0.000 0.250 0.030 [4 per cell]
Zn 0.000 0.044 0.666 [8 per cell]

Most intense lines, 2θ from 10° to 90°, sorted by position:
- 3.865 Å, I 19, (1 0 1)
- 2.686 Å, I 19, (1 1 2)
- 2.629 Å, I 100, (1 2 1)
- 2.606 Å, I 44, (0 2 2)
- 2.246 Å, I 31, (2 0 0)
- 2.203 Å, I 49, (1 0 3)
- 1.701 Å, I 24, (2 2 2)
- 1.410 Å, I 13, (1 3 4)
- 1.391 Å, I 11, (1 4 3)
- 1.359 Å, I 13, (3 2 1)

---

Entry 2:
Structure and simulated X-ray powder pattern of Tb3Zn (a PBE-relaxed structure; CuKα).
No peak broadening, texture or thermal motion is included.

Atomic structure:
Cell lengths 4.754, 4.754, 4.754 Å; angles 90.00, 90.00, 90.00 degrees
Space group Pm-3m (No. 221)
One atom of each set of equivalent atoms:
Tb 0.000 0.000 0.500 [3 per cell]
Zn 0.500 0.500 0.500 [1 per cell]

Most intense lines, 2θ from 10° to 90°, sorted by position:
- 4.754 Å, I 7, (1 0 0)
- 3.362 Å, I 6, (1 1 0)
- 2.745 Å, I 100, (1 1 1)
- 2.377 Å, I 50, (2 0 0)
- 2.126 Å, I 4, (2 1 0)
- 1.681 Å, I 35, (2 2 0)
- 1.433 Å, I 41, (3 1 1)
- 1.372 Å, I 12, (2 2 2)
- 1.189 Å, I 6, (4 0 0)
- 1.091 Å, I 18, (3 3 1)

---

Entry 3:
Structure and simulated X-ray powder pattern of TbZr3 (a PBE-relaxed structure; CuKα).
No peak broadening, texture or thermal motion is included.

Atomic structure:
Cell lengths 3.3109, 3.3109, 10.5787 Å; angles 90.00, 90.00, 120.00 degrees
Space group P-6m2 (No. 187)
One atom of each set of equivalent atoms:
Tb 0.0000 0.0000 0.0000 [1 per cell]
Zr 0.0000 0.0000 0.5000 [1 per cell]
Zr 0.6667 0.3333 0.2615 [2 per cell]

Most intense lines, 2θ from 10° to 90°, sorted by position:
- 2.867 Å, I 25, (1 0 0)
- 2.767 Å, I 5, (1 0 1)
- 2.645 Å, I 25, (0 0 4)
- 2.521 Å, I 100, (1 0 2)
- 1.944 Å, I 16, (1 0 4)
- 1.655 Å, I 18, (1 1 0)
- 1.502 Å, I 18, (1 0 6)
- 1.403 Å, I 20, (1 1 4)
- 1.384 Å, I 15, (2 0 2)
- 1.112 Å, I 7, (2 0 6)

---

Entry 4:
Structure and simulated X-ray powder pattern of TbZr (a PBE-relaxed structure; CuKα).
No peak broadening, texture or thermal motion is included.

Atomic structure:
Cell lengths 3.3995, 3.3995, 5.4310 Å; angles 90.00, 90.00, 120.00 degrees
Space group P-6m2 (No. 187)
One atom of each set of equivalent atoms:
Tb 0.0000 0.0000 0.0000 [1 per cell]
Zr 0.6667 0.3333 0.5000 [1 per cell]

Most intense lines, 2θ from 10° to 90°, sorted by position:
- 5.431 Å, I 8, (0 0 1)
- 2.944 Å, I 28, (1 0 0)
- 2.715 Å, I 25, (0 0 2)
- 2.588 Å, I 100, (1 0 1)
- 1.996 Å, I 18, (1 0 2)
- 1.700 Å, I 18, (1 1 0)
- 1.542 Å, I 20, (1 0 3)
- 1.441 Å, I 21, (1 1 2)
- 1.421 Å, I 15, (2 0 1)
- 1.142 Å, I 8, (2 0 3)

---

Entry 5:
Structure and simulated X-ray powder pattern of Tc3Te (a PBE-relaxed structure; CuKα).
No peak broadening, texture or thermal motion is included.

Atomic structure:
Cell lengths 6.364, 6.364, 6.364 Å; angles 90.00, 90.00, 90.00 degrees
Space group Fm-3m (No. 225)
One atom of each set of equivalent atoms:
Tc 0.000 0.000 0.000 [4 per cell]
Tc 0.250 0.250 0.250 [8 per cell]
Te 0.000 0.000 0.500 [4 per cell]

Most intense lines, 2θ from 10° to 90°, sorted by position:
- 3.674 Å, I 1, (1 1 1)
- 2.250 Å, I 100, (2 2 0)
- 1.591 Å, I 17, (4 0 0)
- 1.299 Å, I 33, (4 2 2)
- 1.125 Å, I 11, (4 4 0)

---

Entry 6:
Structure and simulated X-ray powder pattern of ThTc2 (a PBE-relaxed structure; CuKα).
No peak broadening, texture or thermal motion is included.

Atomic structure:
Cell lengths 5.2732, 5.2732, 9.7713 Å; angles 90.00, 90.00, 120.00 degrees
Space group P6_3/mmc (No. 194)
One atom of each set of equivalent atoms:
Th 0.3333 0.6667 0.0646 [4 per cell]
Tc 0.0000 0.0000 0.0000 [2 per cell]
Tc 0.1696 0.3392 0.7500 [6 per cell]

Most intense lines, 2θ from 10° to 90°, sorted by position:
- 2.652 Å, I 100, (1 0 3)
- 2.637 Å, I 48, (1 1 0)
- 2.320 Å, I 86, (1 1 2)
- 2.283 Å, I 12, (2 0 0)
- 2.223 Å, I 50, (2 0 1)
- 1.525 Å, I 36, (2 1 3)
- 1.485 Å, I 31, (2 0 5)
- 1.453 Å, I 20, (3 0 2)
- 1.318 Å, I 20, (2 2 0)
- 1.180 Å, I 22, (3 1 3)